# Al2Cu5Ni
Computed powder XRD pattern, Cu Ka. Input: a cell relaxed with GGA-PBE.

Structure:
Cell: 7.206 7.206 7.206 Å, 133.64 133.64 67.65°
Fractional coordinates of all 16 atoms:
Al 0.125 0.375 0.750
Al 0.375 0.125 0.250
Al 0.625 0.875 0.750
Al 0.875 0.625 0.250
Cu 0.000 0.249 0.249
Cu 0.000 0.751 0.751
Cu 0.249 0.000 0.749
Cu 0.249 0.500 0.249
Cu 0.375 0.625 0.750
Cu 0.500 0.249 0.749
Cu 0.500 0.751 0.251
Cu 0.625 0.375 0.250
Cu 0.751 0.000 0.251
Cu 0.751 0.500 0.751
Ni 0.125 0.875 0.250
Ni 0.875 0.125 0.750

Largest 10 diffraction maxima, in order of rising 2θ, 2θ from 10° to 80°:
| d_spacing | 2theta | intensity |
| --- | --- | --- |
| 3.332 | 26.75 | 11.6 |
| 2.993 | 29.85 | 2.7 |
| 2.836 | 31.54 | 4.6 |
| 2.059 | 43.98 | 100.0 |
| 2.006 | 45.21 | 46.0 |
| 1.787 | 51.12 | 1.8 |
| 1.718 | 53.31 | 3.2 |
| 1.497 | 62.01 | 8.4 |
| 1.418 | 65.86 | 13.8 |
| 1.200 | 79.99 | 15.1 |